AcThAl4: computed X-ray powder pattern (CuKα), based on the GGA-PBE geometry in Alexandria.
No peak broadening, texture or thermal motion is included.

Cell and atoms:
Unit cell a=8.378 b=8.378 c=8.378 alpha=149.30 beta=149.30 gamma=43.98
Atoms (fractional coordinates):
Ac 0.000 0.000 0.000
Th 0.750 0.250 0.500
Al 0.169 0.669 0.500
Al 0.331 0.831 0.500
Al 0.414 0.414 0.000
Al 0.586 0.586 0.000

Main lines, in order of rising 2θ (5° ≤ 2θ ≤ 70°):
20.82°, rel. 61; 22.90°, rel. 31; 26.45°, rel. 57; 30.74°, rel. 100; 35.26°, rel. 40; 40.68°, rel. 29; 49.18°, rel. 22; 54.91°, rel. 23



Np2ScTl2S6: computed X-ray powder pattern (CuKα), based on the GGA-PBE geometry in Alexandria.
No peak broadening, texture or thermal motion is included.

Cell and atoms:
Unit cell a=6.804 b=6.804 c=7.888 alpha=98.28 beta=98.28 gamma=119.86
Atoms (fractional coordinates):
Np 0.166 0.834 0.000
Np 0.834 0.166 0.000
Sc 0.500 0.500 0.000
Tl 0.333 0.667 0.500
Tl 0.667 0.333 0.500
S 0.112 0.437 0.810
S 0.242 0.242 0.190
S 0.437 0.112 0.810
S 0.563 0.888 0.190
S 0.758 0.758 0.810
S 0.888 0.563 0.190

Main lines, in order of rising 2θ (5° ≤ 2θ ≤ 70°):
15.05°, rel. 21; 16.94°, rel. 33; 23.55°, rel. 31; 27.35°, rel. 56; 30.63°, rel. 100; 41.46°, rel. 39; 46.15°, rel. 22; 48.22°, rel. 25



LiAcMnH6: computed X-ray powder pattern (CuKα), based on the GGA-PBE geometry in Alexandria.
No peak broadening, texture or thermal motion is included.

Cell and atoms:
Unit cell a=4.631 b=4.631 c=4.657 alpha=90.00 beta=90.00 gamma=120.00
Atoms (fractional coordinates):
Li 0.000 0.000 0.000
Ac 0.667 0.333 0.500
Mn 0.333 0.667 0.000
H 0.181 0.361 0.242
H 0.181 0.361 0.758
H 0.181 0.819 0.242
H 0.181 0.819 0.758
H 0.639 0.819 0.242
H 0.639 0.819 0.758

Main lines, in order of rising 2θ (5° ≤ 2θ ≤ 70°):
19.06°, rel. 17; 22.16°, rel. 55; 29.39°, rel. 100; 38.89°, rel. 28; 45.02°, rel. 19; 49.49°, rel. 24; 56.00°, rel. 20; 64.66°, rel. 22



MgPdPt4: computed X-ray powder pattern (CuKα), based on the GGA-PBE geometry in Alexandria.
No peak broadening, texture or thermal motion is included.

Cell and atoms:
Unit cell a=4.877 b=5.593 c=7.087 alpha=90.00 beta=104.00 gamma=90.00
Atoms (fractional coordinates):
Mg 0.217 0.250 0.164
Mg 0.783 0.750 0.836
Pd 0.214 0.750 0.159
Pd 0.786 0.250 0.841
Pt 0.002 0.250 0.500
Pt 0.287 0.503 0.830
Pt 0.287 0.997 0.830
Pt 0.500 0.000 0.500
Pt 0.500 0.500 0.500
Pt 0.713 0.003 0.170
Pt 0.713 0.497 0.170
Pt 0.998 0.750 0.500

Main lines, in order of rising 2θ (5° ≤ 2θ ≤ 70°):
20.04°, rel. 31; 37.35°, rel. 57; 39.31°, rel. 80; 40.72°, rel. 59; 41.23°, rel. 100; 43.14°, rel. 87; 43.35°, rel. 49; 66.53°, rel. 34



Pm2Er12Sc: computed X-ray powder pattern (CuKα), based on the GGA-PBE geometry in Alexandria.
No peak broadening, texture or thermal motion is included.

Cell and atoms:
Unit cell a=6.480 b=6.480 c=24.420 alpha=90.45 beta=90.45 gamma=114.12
Atoms (fractional coordinates):
Pm 0.110 0.110 0.275
Pm 0.387 0.387 0.720
Pm 0.613 0.613 0.280
Pm 0.890 0.890 0.725
Er 0.102 0.102 0.123
Er 0.103 0.610 0.198
Er 0.116 0.614 0.332
Er 0.125 0.125 0.573
Er 0.131 0.624 0.554
Er 0.150 0.620 0.061
Er 0.368 0.368 0.430
Er 0.376 0.869 0.446
Er 0.380 0.850 0.939
Er 0.386 0.884 0.668
Er 0.390 0.897 0.802
Er 0.397 0.397 0.866
Er 0.603 0.603 0.134
Er 0.610 0.103 0.198
Er 0.614 0.116 0.332
Er 0.620 0.150 0.061
Er 0.624 0.131 0.554
Er 0.632 0.632 0.570
Er 0.850 0.380 0.939
Er 0.869 0.376 0.446
Er 0.875 0.875 0.427
Er 0.884 0.386 0.668
Er 0.897 0.390 0.802
Er 0.898 0.898 0.877
Sc 0.240 0.240 0.990
Sc 0.760 0.760 0.010

Main lines, in order of rising 2θ (5° ≤ 2θ ≤ 70°):
30.45°, rel. 100; 31.21°, rel. 28; 32.94°, rel. 58; 33.40°, rel. 20; 33.51°, rel. 21; 33.67°, rel. 30; 33.86°, rel. 41; 62.86°, rel. 19



K3TiCl8: computed X-ray powder pattern (CuKα), based on the GGA-PBE geometry in Alexandria.
No peak broadening, texture or thermal motion is included.

Cell and atoms:
Unit cell a=8.600 b=8.600 c=8.600 alpha=131.36 beta=131.36 gamma=71.24
Atoms (fractional coordinates):
K 0.000 0.000 0.000
K 0.250 0.750 0.500
K 0.750 0.250 0.500
Ti 0.500 0.500 0.000
Cl 0.181 0.181 0.577
Cl 0.181 0.604 0.000
Cl 0.396 0.396 0.577
Cl 0.396 0.819 0.000
Cl 0.604 0.181 0.000
Cl 0.604 0.604 0.423
Cl 0.819 0.396 0.000
Cl 0.819 0.819 0.423

Main lines, in order of rising 2θ (5° ≤ 2θ ≤ 70°):
14.02°, rel. 28; 21.83°, rel. 76; 35.86°, rel. 50; 36.10°, rel. 100; 38.66°, rel. 13; 42.37°, rel. 20; 46.68°, rel. 18; 64.60°, rel. 17



PmThSe2N: computed X-ray powder pattern (CuKα), based on the GGA-PBE geometry in Alexandria.
No peak broadening, texture or thermal motion is included.

Cell and atoms:
Unit cell a=4.110 b=4.110 c=14.946 alpha=90.00 beta=90.00 gamma=90.00
Atoms (fractional coordinates):
Pm 0.250 0.250 0.126
Pm 0.750 0.750 0.874
Th 0.250 0.250 0.578
Th 0.750 0.750 0.422
Se 0.250 0.250 0.308
Se 0.250 0.250 0.910
Se 0.750 0.750 0.090
Se 0.750 0.750 0.692
N 0.250 0.750 0.500
N 0.750 0.250 0.500

Main lines, in order of rising 2θ (5° ≤ 2θ ≤ 70°):
5.91°, rel. 32; 24.72°, rel. 54; 28.15°, rel. 52; 30.77°, rel. 100; 32.38°, rel. 32; 37.19°, rel. 40; 39.28°, rel. 32; 44.07°, rel. 41



GaSbAu2: computed X-ray powder pattern (CuKα), based on the GGA-PBE geometry in Alexandria.
No peak broadening, texture or thermal motion is included.

Cell and atoms:
Unit cell a=8.719 b=7.180 c=5.640 alpha=90.00 beta=90.00 gamma=90.00
Atoms (fractional coordinates):
Ga 0.120 0.083 0.250
Ga 0.120 0.417 0.750
Ga 0.880 0.583 0.250
Ga 0.880 0.917 0.750
Sb 0.371 0.593 0.250
Sb 0.371 0.907 0.750
Sb 0.629 0.093 0.250
Sb 0.629 0.407 0.750
Au 0.107 0.750 0.000
Au 0.107 0.750 0.500
Au 0.349 0.250 0.000
Au 0.349 0.250 0.500
Au 0.651 0.750 0.000
Au 0.651 0.750 0.500
Au 0.893 0.250 0.000
Au 0.893 0.250 0.500

Main lines, in order of rising 2θ (5° ≤ 2θ ≤ 70°):
23.88°, rel. 61; 24.80°, rel. 35; 28.71°, rel. 28; 40.10°, rel. 100; 40.68°, rel. 47; 41.42°, rel. 27; 43.12°, rel. 58; 59.46°, rel. 24